Entry 1:
Calculated XRD peak list of UHg3I4 for copper Kα, from a structure optimized by DFT (PBE).
Peak positions follow from Bragg's law for the DFT cell and can differ from measured ones.

Main lines, by intensity (2θ = 5–70°):
21.98 deg, I = 100; 33.22 deg, I = 78; 24.60 deg, I = 48; 17.33 deg, I = 34; 41.01 deg, I = 29; 21.44 deg, I = 27; 39.37 deg, I = 27; 49.08 deg, I = 23; 69.76 deg, I = 21; 55.65 deg, I = 19

```
UHg3I4
1.0
-5.118 5.118 4.875
5.118 -5.118 4.875
5.118 5.118 -4.875
U Hg I
1 3 4
Direct
0.000 0.000 0.000
0.250 0.750 0.500
0.500 0.500 0.000
0.750 0.250 0.500
0.019 0.019 0.341
0.322 0.981 0.000
0.678 0.678 0.659
0.981 0.322 0.000
```

---

Entry 2:
Calculated XRD peak list of Na2USeO6 for copper Kα, from a structure optimized by DFT (PBE).
Peak positions follow from Bragg's law for the DFT cell and can differ from measured ones.

Main lines, by intensity (2θ = 5–70°):
29.94 deg, I = 100; 21.65 deg, I = 92; 20.43 deg, I = 56; 15.26 deg, I = 49; 30.81 deg, I = 47; 54.24 deg, I = 39; 44.12 deg, I = 34; 25.60 deg, I = 30; 47.32 deg, I = 25; 49.08 deg, I = 22

```
Na2USeO6
1.0
5.805 0.000 0.000
0.000 5.805 0.000
0.000 0.000 4.348
Na U Se O
2 1 1 6
Direct
0.000 0.500 0.000
0.500 0.000 0.000
0.000 0.000 0.577
0.500 0.500 0.551
0.000 0.000 0.085
0.249 0.249 0.596
0.249 0.751 0.596
0.500 0.500 0.168
0.751 0.249 0.596
0.751 0.751 0.596
```

---

Entry 3:
Calculated XRD peak list of CsRbCd5 for copper Kα, from a structure optimized by DFT (PBE).
Peak positions follow from Bragg's law for the DFT cell and can differ from measured ones.

Main lines, by intensity (2θ = 5–70°):
26.82 deg, I = 100; 26.97 deg, I = 63; 34.38 deg, I = 59; 33.05 deg, I = 56; 30.13 deg, I = 54; 25.37 deg, I = 53; 40.26 deg, I = 44; 24.92 deg, I = 40; 10.46 deg, I = 38; 36.88 deg, I = 33

```
CsRbCd5
1.0
11.842 0.000 0.000
0.000 7.147 0.000
0.000 0.000 12.094
Cs Rb Cd
4 4 20
Direct
0.112 0.250 0.094
0.388 0.750 0.594
0.612 0.250 0.406
0.888 0.750 0.906
0.229 0.250 0.423
0.271 0.750 0.923
0.729 0.250 0.077
0.771 0.750 0.577
0.023 0.750 0.198
0.085 0.542 0.656
0.085 0.750 0.443
0.085 0.958 0.656
0.233 0.250 0.764
0.267 0.750 0.264
0.415 0.042 0.156
0.415 0.250 0.943
0.415 0.458 0.156
0.477 0.250 0.698
0.523 0.750 0.302
0.585 0.542 0.844
0.585 0.750 0.057
0.585 0.958 0.844
0.733 0.250 0.736
0.767 0.750 0.236
0.915 0.042 0.344
0.915 0.250 0.557
0.915 0.458 0.344
0.977 0.250 0.802
```

---

Entry 4:
Calculated XRD peak list of La3PrO6 for copper Kα, from a structure optimized by DFT (PBE).
Peak positions follow from Bragg's law for the DFT cell and can differ from measured ones.

Main lines, by intensity (2θ = 5–70°):
27.50 deg, I = 100; 30.39 deg, I = 83; 28.12 deg, I = 48; 24.83 deg, I = 46; 46.73 deg, I = 41; 22.05 deg, I = 35; 40.08 deg, I = 32; 48.50 deg, I = 29; 30.10 deg, I = 22; 39.40 deg, I = 21

```
La3PrO6
1.0
5.143 2.969 4.032
-5.143 2.969 4.032
0.000 -5.938 4.032
La Pr O
6 2 12
Direct
0.053 0.751 0.560
0.249 0.440 0.947
0.440 0.947 0.249
0.560 0.053 0.751
0.751 0.560 0.053
0.947 0.249 0.440
0.000 0.000 0.000
0.500 0.500 0.500
0.029 0.683 0.898
0.102 0.971 0.317
0.184 0.435 0.595
0.317 0.102 0.971
0.405 0.816 0.565
0.435 0.595 0.184
0.565 0.405 0.816
0.595 0.184 0.435
0.683 0.898 0.029
0.816 0.565 0.405
0.898 0.029 0.683
0.971 0.317 0.102
```

---

Entry 5:
Calculated XRD peak list of Cs2SeS for copper Kα, from a structure optimized by DFT (PBE).
Peak positions follow from Bragg's law for the DFT cell and can differ from measured ones.

Main lines, by intensity (2θ = 5–70°):
28.86 deg, I = 100; 29.07 deg, I = 83; 14.01 deg, I = 74; 27.30 deg, I = 52; 27.01 deg, I = 50; 37.17 deg, I = 30; 41.27 deg, I = 27; 18.34 deg, I = 27; 22.10 deg, I = 26; 42.01 deg, I = 23

```
Cs2SeS
1.0
9.031 0.000 0.000
0.000 9.675 0.000
0.000 0.000 8.857
Cs Se S
8 4 4
Direct
0.182 0.008 0.188
0.182 0.492 0.188
0.318 0.508 0.688
0.318 0.992 0.688
0.682 0.008 0.312
0.682 0.492 0.312
0.818 0.508 0.812
0.818 0.992 0.812
0.089 0.250 0.898
0.411 0.750 0.398
0.589 0.250 0.602
0.911 0.750 0.102
0.090 0.750 0.920
0.410 0.250 0.420
0.590 0.750 0.580
0.910 0.250 0.080
```

---

Entry 6:
Calculated XRD peak list of Re2Si8MoW for copper Kα, from a structure optimized by DFT (PBE).
Peak positions follow from Bragg's law for the DFT cell and can differ from measured ones.

Main lines, by intensity (2θ = 5–70°):
30.10 deg, I = 100; 44.68 deg, I = 92; 39.76 deg, I = 64; 22.63 deg, I = 50; 46.23 deg, I = 39; 66.25 deg, I = 32; 5.62 deg, I = 26; 62.58 deg, I = 26; 57.49 deg, I = 22; 11.26 deg, I = 5

```
Re2Si8MoW
1.0
3.206 0.000 0.000
0.000 3.206 0.000
0.000 0.000 15.714
Re Si Mo W
2 8 1 1
Direct
0.000 0.000 0.000
0.500 0.500 0.246
0.000 0.000 0.165
0.000 0.000 0.332
0.000 0.000 0.665
0.000 0.000 0.832
0.500 0.500 0.082
0.500 0.500 0.415
0.500 0.500 0.581
0.500 0.500 0.915
0.000 0.000 0.496
0.500 0.500 0.750
```

---

Entry 7:
Calculated XRD peak list of Er2Cd3Hg3 for copper Kα, from a structure optimized by DFT (PBE).
Peak positions follow from Bragg's law for the DFT cell and can differ from measured ones.

Main lines, by intensity (2θ = 5–70°):
35.43 deg, I = 100; 63.66 deg, I = 27; 50.98 deg, I = 18; 63.50 deg, I = 9; 21.48 deg, I = 2; 24.85 deg, I = 2; 41.81 deg, I = 1; 20.57 deg, I = 1; 10.67 deg, I = 1; 48.79 deg, I = 1

```
Er2Cd3Hg3
1.0
2.531 1.461 8.290
-2.531 1.461 8.290
0.000 -2.922 8.290
Er Cd Hg
2 3 3
Direct
0.000 0.000 0.000
0.495 0.495 0.495
0.247 0.247 0.247
0.748 0.748 0.748
0.874 0.874 0.874
0.124 0.124 0.124
0.372 0.372 0.372
0.620 0.620 0.620
```

---

Entry 8:
Calculated XRD peak list of PmSmAgBi for copper Kα, from a structure optimized by DFT (PBE).
Peak positions follow from Bragg's law for the DFT cell and can differ from measured ones.

Main lines, by intensity (2θ = 5–70°):
33.16 deg, I = 100; 59.23 deg, I = 38; 47.59 deg, I = 18; 69.59 deg, I = 12; 20.12 deg, I = 5; 39.09 deg, I = 3; 52.17 deg, I = 1; 63.22 deg, I = 1

```
PmSmAgBi
1.0
0.000 3.821 3.821
3.821 0.000 3.821
3.821 3.821 0.000
Pm Sm Ag Bi
1 1 1 1
Direct
0.000 0.000 0.000
0.500 0.500 0.500
0.750 0.750 0.750
0.250 0.250 0.250
```